The following is a simulated powder X-ray diffraction pattern of KNa2AlH6. It was derived from a DFT-relaxed cell (PBE, the Materials Project), using λ = 1.5418 Å (Cu Kα).
Peak positions follow from Bragg's law for the DFT cell and can differ from measured ones.

Top 12 peaks for 2θ from 5° to 70°, most intense first:
Position (°2θ)  d_spacing  Rel. int.
29.81  2.997  100
32.72  2.737  82
25.04  3.556  70
31.59  2.832  56
19.25  4.612  53
8.46  10.451  34
22.83  3.896  27
42.27  2.138  25
27.11  3.289  23
38.36  2.346  23
43.28  2.091  22
12.47  7.101  20

Structure:
abc: 7.2122 4.6926 10.6154
angles: 90.00 100.08 90.00
Fractional coordinates of all 20 atoms:
K  0.1334  0.0000  0.2674
K  0.8666  0.5000  0.7326
Na  0.2880  0.9489  0.6936
Na  0.4363  0.3615  0.9104
Na  0.5637  0.8615  0.0896
Na  0.7120  0.4489  0.3064
Al  0.4050  0.4988  0.4885
Al  0.5950  0.9988  0.5115
H  0.0049  0.3333  0.0469
H  0.0604  0.2732  0.9975
H  0.1634  0.2289  0.8148
H  0.2455  0.5173  0.5866
H  0.2618  0.4968  0.3466
H  0.4917  0.3155  0.1271
H  0.5083  0.8155  0.8729
H  0.7382  0.9968  0.6534
H  0.7545  0.0173  0.4134
H  0.8366  0.7289  0.1852
H  0.9396  0.7732  0.0025
H  0.9951  0.8333  0.9531

***

The following is a simulated powder X-ray diffraction pattern of Na2Sm2Ti3O10. It was derived from a DFT-relaxed cell (PBE, the Materials Project), using λ = 1.5418 Å (Cu Kα).
Peak positions follow from Bragg's law for the DFT cell and can differ from measured ones.

Top 12 peaks for 2θ from 5° to 70°, most intense first:
Position (°2θ)  d_spacing  Rel. int.
6.16  14.349  100
31.95  2.801  55
33.02  2.713  30
27.97  3.190  21
47.39  1.918  21
58.29  1.583  20
41.74  2.164  14
56.25  1.636  13
38.14  2.360  12
12.34  7.174  12
66.79  1.401  11
23.39  3.803  11

Structure:
abc: 14.6032 14.6032 14.6032
angles: 164.90 164.90 21.41
Fractional coordinates of all 17 atoms:
Na  0.2122  0.2122  0.0000
Na  0.7878  0.7878  0.0000
Sm  0.0754  0.0754  0.0000
Sm  0.9246  0.9246  0.0000
Ti  0.3540  0.3540  0.0000
Ti  0.5000  0.5000  0.0000
Ti  0.6460  0.6460  0.0000
O  0.0000  0.5000  0.5000
O  0.1308  0.6308  0.5000
O  0.2924  0.2924  0.0000
O  0.3692  0.8692  0.5000
O  0.4326  0.4326  0.0000
O  0.5000  0.0000  0.5000
O  0.5674  0.5674  0.0000
O  0.6308  0.1308  0.5000
O  0.7076  0.7076  0.0000
O  0.8692  0.3692  0.5000

***

The following is a simulated powder X-ray diffraction pattern of Tb6CoTe2. It was derived from a DFT-relaxed cell (PBE, the Materials Project), using λ = 1.5418 Å (Cu Kα).
Peak positions follow from Bragg's law for the DFT cell and can differ from measured ones.

Top 12 peaks for 2θ from 5° to 70°, most intense first:
Position (°2θ)  d_spacing  Rel. int.
31.06  2.880  100
32.38  2.765  77
33.44  2.680  70
57.47  1.604  30
39.84  2.263  29
59.91  1.544  28
36.86  2.439  27
50.61  1.804  22
46.12  1.968  20
62.81  1.479  16
60.44  1.532  13
44.66  2.029  9

Structure:
abc: 8.4473 8.4473 3.9367
angles: 90.00 90.00 120.00
Fractional coordinates of all 9 atoms:
Tb  0.0000  0.2358  0.0000
Tb  0.0000  0.5955  0.5000
Tb  0.2358  0.0000  0.0000
Tb  0.4045  0.4045  0.5000
Tb  0.5955  0.0000  0.5000
Tb  0.7642  0.7642  0.0000
Co  0.0000  0.0000  0.5000
Te  0.3333  0.6667  0.0000
Te  0.6667  0.3333  0.0000